Diffraction record for Li3Mo2P3O12. The powder X-ray diffraction pattern is theoretical, not measured: it uses a crystal structure in Alexandria, relaxed with GGA+U and Cu Kα X-rays.
Kinematic intensities with the Lorentz-polarization factor, no thermal factor.

Atomic structure:
```
data_Li3Mo2P3O12
_cell_length_a 8.3892
_cell_length_b 5.4773
_cell_length_c 19.3607
_cell_angle_alpha 90.00
_cell_angle_beta 90.19
_cell_angle_gamma 90.00
_space_group_name_H-M_alt 'C 1 2/m 1'
_space_group_IT_number 12
_space_group_name_Hall '-C 2y'
loop_
_atom_site_label
_atom_site_fract_x
_atom_site_fract_y
_atom_site_fract_z
_atom_site_occupancy
Li1 0.0008 0.0000 0.1635 1
Li2 0.1649 0.5000 0.7627 1
Li3 0.1681 0.5000 0.0894 1
Mo1 0.0000 0.0000 0.0000 1
Mo2 0.0000 0.0000 0.5000 1
Mo3 0.0046 0.0000 0.3282 1
P1 0.1473 0.5000 0.5886 1
P2 0.1479 0.5000 0.9206 1
P3 0.1543 0.5000 0.2473 1
O1 0.0318 0.2733 0.9205 1
O2 0.0367 0.2644 0.5855 1
O3 0.0371 0.2727 0.2488 1
O4 0.2364 0.5000 0.6583 1
O5 0.2433 0.0000 0.6870 1
O6 0.2450 0.0000 0.4742 1
O7 0.2453 0.5000 0.9891 1
O8 0.2462 0.0000 0.1425 1
O9 0.2467 0.0000 0.8180 1
```

Peak list (6 most intense, 10° ≤ 2θ ≤ 90°, sorted by position)
d_spacing	two_theta	I_rel
4.586	19.4	44
3.742	23.8	66
3.512	25.4	37
2.739	32.7	36
2.639	34.0	100
2.491	36.1	48